Structure and computed X-ray diffraction stick pattern of CoMo2Os5 (DFT lattice parameters and positions (PBE); Cu Kα (weighted mean of Kα1 and Kα2)).
Intensities are scaled so that the largest is 100.

Structure:
```
data_CoMo2Os5
_cell_length_a 4.343
_cell_length_b 5.493
_cell_length_c 9.521
_cell_angle_alpha 90.00
_cell_angle_beta 90.00
_cell_angle_gamma 90.00
_symmetry_space_group_name_H-M 'A m m 2'
_symmetry_Int_Tables_number 38
loop_
_symmetry_equiv_pos_as_xyz
'x,y,z'
'-x,-y,z'
'-x,y,z'
'x,-y,z'
'x,y+1/2,z+1/2'
'-x,-y+1/2,z+1/2'
'-x,y+1/2,z+1/2'
'x,-y+1/2,z+1/2'
loop_
_atom_site_label
_atom_site_fract_x
_atom_site_fract_y
_atom_site_fract_z
_atom_site_occupancy
Co1 0.000 0.000 0.000 1
Mo1 0.000 0.000 0.501 1
Mo2 0.500 0.000 0.836 1
Os1 0.000 0.247 0.745 1
Os2 0.500 0.000 0.332 1
Os3 0.500 0.243 0.080 1
```

Top 10 peaks for 10 to 90 degrees two-theta, by angle:
| two_theta | I_rel | (hkl) |
| --- | --- | --- |
| 18.6 | 7 | 0 0 2 |
| 27.8 | 9 | 1 0 2 |
| 37.8 | 25 | 0 2 2 |
| 41.6 | 25 | 2 0 0 |
| 43.4 | 100 | 1 0 4 |
| 57.5 | 15 | 2 2 2 |
| 68.3 | 17 | 0 2 6 |
| 77.1 | 19 | 3 0 4 |
| 83.2 | 20 | 2 2 6 |
| 84.4 | 15 | 1 4 4 |

Structure and computed X-ray diffraction stick pattern of Co3Mo2Os3 (DFT lattice parameters and positions (PBE); Cu Kα (weighted mean of Kα1 and Kα2)).
Intensities are scaled so that the largest is 100.

Structure:
```
data_Co3Mo2Os3
_cell_length_a 5.336
_cell_length_b 4.259
_cell_length_c 5.339
_cell_angle_alpha 90.00
_cell_angle_beta 119.83
_cell_angle_gamma 90.00
_symmetry_space_group_name_H-M 'P 1 m 1'
_symmetry_Int_Tables_number 6
loop_
_symmetry_equiv_pos_as_xyz
'x,y,z'
'x,-y,z'
loop_
_atom_site_label
_atom_site_fract_x
_atom_site_fract_y
_atom_site_fract_z
_atom_site_occupancy
Co1 0.000 0.000 0.000 1
Co2 0.009 0.000 0.512 1
Co3 0.681 0.500 0.843 1
Mo1 0.165 0.500 0.335 1
Mo2 0.506 0.000 0.002 1
Os1 0.161 0.500 0.838 1
Os2 0.511 0.000 0.516 1
Os3 0.678 0.500 0.348 1
```

Top 10 peaks for 10 to 90 degrees two-theta, by angle:
| two_theta | I_rel | (hkl) |
| --- | --- | --- |
| 19.2 | 19 | 1 0 -1 |
| 28.5 | 30 | 1 1 -1 |
| 38.9 | 27 | 2 0 0 |
| 42.4 | 39 | 0 2 0 |
| 44.5 | 100 | 0 1 2 |
| 44.6 | 51 | 2 1 -2 |
| 59.0 | 23 | 2 2 0 |
| 70.6 | 17 | 2 0 -4 |
| 79.2 | 28 | 2 3 -2 |
| 86.0 | 20 | 2 2 -4 |